# 1
This entry pairs a crystal structure of LaDy2In3Te6 with its theoretical powder diffractogram. Radiation: a wavelength of 1.5418 Å. Structure: a GGA-PBE-relaxed structure.
Lines closer than 0.1° are merged.

Largest 10 diffraction maxima, sorted by position, 2θ = 10–90°:
hkl 0 0 1, 2θ 10.9, I = 7
hkl 2 0 -2, 2θ 27.2, I = 100
hkl 1 3 -3, 2θ 37.6, I = 39
hkl 0 6 0, 2θ 40.2, I = 36
hkl 0 0 4, 2θ 44.7, I = 7
hkl 2 6 -2, 2θ 49.3, I = 19
hkl 4 0 -4, 2θ 56.2, I = 12
hkl 3 3 -5, 2θ 61.7, I = 16
hkl 5 3 -3, 2θ 65.4, I = 16
hkl 4 6 -4, 2θ 71.3, I = 11

Crystal structure
```
data_LaDy2In3Te6
_cell_length_a 7.771
_cell_length_b 13.450
_cell_length_c 8.509
_cell_angle_alpha 90.00
_cell_angle_beta 107.72
_cell_angle_gamma 90.00
_space_group_name_H-M_alt 'C 1 2/m 1'
_space_group_IT_number 12
loop_
_space_group_symop_operation_xyz
'x,y,z'
'-x,-y,-z'
'-x,y,-z'
'x,-y,z'
'x+1/2,y+1/2,z'
'-x+1/2,-y+1/2,-z'
'-x+1/2,y+1/2,-z'
'x+1/2,-y+1/2,z'
loop_
_atom_site_label
_atom_site_fract_x
_atom_site_fract_y
_atom_site_fract_z
_atom_site_occupancy
La1 0.000 0.000 0.000 1
Dy1 0.000 0.333 0.000 1
In1 0.000 0.164 0.500 1
In2 0.000 0.500 0.500 1
Te1 0.228 0.500 0.219 1
Te2 0.247 0.172 0.222 1
```

# 2
This entry pairs a crystal structure of B2C3 with its theoretical powder diffractogram. Radiation: a wavelength of 1.5418 Å. Structure: a GGA-PBE-relaxed structure.
Lines closer than 0.1° are merged.

Largest 10 diffraction maxima, sorted by position, 2θ = 10–90°:
hkl 0 0 4, 2θ 17.0, I = 13
hkl 0 1 5, 2θ 42.3, I = 100
hkl 0 1 7, 2θ 47.6, I = 7
hkl 1 1 8, 2θ 63.8, I = 2
hkl 1 1 10, 2θ 69.9, I = 23
hkl 0 2 0, 2θ 76.7, I = 6
hkl 2 0 0, 2θ 76.8, I = 6
hkl 1 1 12, 2θ 77.1, I = 5
hkl 1 0 15, 2θ 78.7, I = 5
hkl 0 1 17, 2θ 88.7, I = 3

Crystal structure
```
data_B2C3
_cell_length_a 2.483
_cell_length_b 2.486
_cell_length_c 20.923
_cell_angle_alpha 90.00
_cell_angle_beta 90.00
_cell_angle_gamma 90.00
_space_group_name_H-M_alt 'I m m 2'
_space_group_IT_number 44
loop_
_space_group_symop_operation_xyz
'x,y,z'
'-x,-y,z'
'-x,y,z'
'x,-y,z'
'x+1/2,y+1/2,z+1/2'
'-x+1/2,-y+1/2,z+1/2'
'-x+1/2,y+1/2,z+1/2'
'x+1/2,-y+1/2,z+1/2'
loop_
_atom_site_label
_atom_site_fract_x
_atom_site_fract_y
_atom_site_fract_z
_atom_site_occupancy
B1 0.000 0.000 0.000 1
B2 0.000 0.000 0.207 1
B3 0.000 0.500 0.145 1
B4 0.000 0.500 0.770 1
C1 0.000 0.000 0.408 1
C2 0.000 0.000 0.592 1
C3 0.000 0.000 0.821 1
C4 0.000 0.500 0.362 1
C5 0.000 0.500 0.553 1
C6 0.000 0.500 0.949 1
```

# 3
This entry pairs a crystal structure of Mg3P5Ru6 with its theoretical powder diffractogram. Radiation: a wavelength of 1.5418 Å. Structure: a GGA-PBE-relaxed structure.
Lines closer than 0.1° are merged.

Largest 10 diffraction maxima, sorted by position, 2θ = 10–90°:
hkl 0 0 2, 2θ 19.7, I = 100
hkl 1 3 1, 2θ 33.5, I = 30
hkl 1 2 2, 2θ 34.1, I = 21
hkl 1 3 2, 2θ 37.8, I = 93
hkl 1 0 3, 2θ 38.3, I = 27
hkl 0 6 0, 2θ 43.5, I = 23
hkl 1 5 1, 2θ 44.6, I = 24
hkl 2 0 0, 2θ 48.0, I = 35
hkl 1 3 4, 2θ 52.1, I = 48
hkl 1 3 6, 2θ 71.3, I = 18

Crystal structure
```
data_Mg3P5Ru6
_cell_length_a 3.794
_cell_length_b 12.473
_cell_length_c 8.998
_cell_angle_alpha 90.00
_cell_angle_beta 90.00
_cell_angle_gamma 90.00
_space_group_name_H-M_alt 'P m m n'
_space_group_IT_number 59
loop_
_space_group_symop_operation_xyz
'x,y,z'
'-x,-y,-z'
'-x+1/2,-y+1/2,z'
'x+1/2,y+1/2,-z'
'x+1/2,-y,-z'
'-x+1/2,y,z'
'-x,y+1/2,-z'
'x,-y+1/2,z'
loop_
_atom_site_label
_atom_site_fract_x
_atom_site_fract_y
_atom_site_fract_z
_atom_site_occupancy
Mg1 0.250 0.100 0.248 1
Mg2 0.250 0.750 0.240 1
P1 0.250 0.076 0.647 1
P2 0.250 0.629 0.984 1
P3 0.250 0.750 0.619 1
Ru1 0.250 0.046 0.898 1
Ru2 0.250 0.250 0.005 1
Ru3 0.250 0.250 0.526 1
Ru4 0.250 0.583 0.501 1
```